Entry 1:
Dy2Re3Ru: theoretical X-ray powder pattern (a wavelength of 1.5418 Å), based on DFT lattice parameters and positions (GGA-PBE).
Lines closer than 0.1° are merged.

```
Dy2Re3Ru
1.0
4.5587 -2.6370 0.0000
4.5587 2.6370 0.0000
-3.0492 0.0000 4.6366
Dy Re Ru
2 3 1
Direct
0.1259 0.1259 0.3775
0.8741 0.8741 0.6225
0.0000 0.5000 0.0000
0.5000 0.0000 0.0000
0.5000 0.5000 0.0000
0.5000 0.5000 0.5000
```

Principal peaks in the range 10° ≤ 2θ ≤ 90°, in order of rising 2θ:
- d = 2.766 Å, I 50.7
- d = 2.375 Å, I 53.5
- d = 2.318 Å, I 28.5
- d = 2.291 Å, I 100.0
- d = 2.251 Å, I 80.9
- d = 2.168 Å, I 67.6
- d = 1.545 Å, I 26.2
- d = 1.383 Å, I 36.1

---

Entry 2:
DyScRe: theoretical X-ray powder pattern (a wavelength of 1.5418 Å), based on DFT lattice parameters and positions (GGA-PBE).
Lines closer than 0.1° are merged.

```
DyScRe
1.0
3.1595 -6.0631 0.0000
3.1595 6.0631 0.0000
0.0000 0.0000 7.6103
Dy Sc Re
4 4 4
Direct
0.1909 0.8091 0.8905
0.3091 0.6909 0.3905
0.6909 0.3091 0.6095
0.8091 0.1909 0.1095
0.2020 0.2980 0.7500
0.2980 0.2020 0.2500
0.7020 0.7980 0.7500
0.7980 0.7020 0.2500
0.0957 0.9043 0.5416
0.4043 0.5957 0.0416
0.5957 0.4043 0.9584
0.9043 0.0957 0.4584
```

Principal peaks in the range 10° ≤ 2θ ≤ 90°, in order of rising 2θ:
- d = 4.512 Å, I 79.4
- d = 3.160 Å, I 71.9
- d = 2.629 Å, I 38.1
- d = 2.537 Å, I 45.2
- d = 2.431 Å, I 44.0
- d = 2.340 Å, I 41.8
- d = 2.170 Å, I 100.0
- d = 1.557 Å, I 35.5

---

Entry 3:
Dy2Re3Si5: theoretical X-ray powder pattern (a wavelength of 1.5418 Å), based on DFT lattice parameters and positions (GGA-PBE).
Lines closer than 0.1° are merged.

```
Dy2Re3Si5
1.0
10.9920 0.0000 0.0000
0.0000 10.9920 0.0000
0.0000 0.0000 5.5192
Dy Re Si
8 12 20
Direct
0.0775 0.2371 0.0000
0.2371 0.9225 0.0000
0.2629 0.4225 0.5000
0.4225 0.7371 0.5000
0.5775 0.2629 0.5000
0.7371 0.5775 0.5000
0.7629 0.0775 0.0000
0.9225 0.7629 0.0000
0.0000 0.5000 0.2500
0.0000 0.5000 0.7500
0.1230 0.8529 0.5000
0.1471 0.1230 0.5000
0.3529 0.6230 0.0000
0.3770 0.3529 0.0000
0.5000 0.0000 0.2500
0.5000 0.0000 0.7500
0.6230 0.6471 0.0000
0.6471 0.3770 0.0000
0.8529 0.8770 0.5000
0.8770 0.1471 0.5000
0.0000 0.0000 0.2414
0.0000 0.0000 0.7586
0.0286 0.3140 0.5000
0.1723 0.6723 0.2500
0.1723 0.6723 0.7500
0.1860 0.4714 0.0000
0.3140 0.9714 0.5000
0.3277 0.1723 0.2500
0.3277 0.1723 0.7500
0.4714 0.8140 0.0000
0.5000 0.5000 0.2586
0.5000 0.5000 0.7414
0.5286 0.1860 0.0000
0.6723 0.8277 0.2500
0.6723 0.8277 0.7500
0.6860 0.0286 0.5000
0.8140 0.5286 0.0000
0.8277 0.3277 0.2500
0.8277 0.3277 0.7500
0.9714 0.6860 0.5000
```

Principal peaks in the range 10° ≤ 2θ ≤ 90°, in order of rising 2θ:
- d = 3.476 Å, I 99.2
- d = 3.052 Å, I 35.0
- d = 2.941 Å, I 86.6
- d = 2.601 Å, I 43.2
- d = 2.458 Å, I 54.8
- d = 2.401 Å, I 100.0
- d = 2.249 Å, I 73.9
- d = 1.889 Å, I 36.8

---

Entry 4:
DyReTc: theoretical X-ray powder pattern (a wavelength of 1.5418 Å), based on DFT lattice parameters and positions (GGA-PBE).
Lines closer than 0.1° are merged.

```
DyReTc
1.0
8.7356 0.0000 0.0000
0.0000 2.6983 4.7366
0.0000 -2.6983 4.7366
Dy Re Tc
4 4 4
Direct
0.1882 0.0000 0.0000
0.3123 0.3331 0.3331
0.6877 0.3331 0.3331
0.8118 0.0000 0.0000
0.0000 0.0069 0.4947
0.0000 0.4947 0.0069
0.2511 0.6671 0.6671
0.7489 0.6671 0.6671
0.0000 0.4942 0.4942
0.5000 0.3222 0.8395
0.5000 0.8369 0.8369
0.5000 0.8395 0.3222
```

Principal peaks in the range 10° ≤ 2θ ≤ 90°, in order of rising 2θ:
- d = 2.725 Å, I 49.3
- d = 2.481 Å, I 41.7
- d = 2.474 Å, I 56.9
- d = 2.312 Å, I 100.0
- d = 2.296 Å, I 66.2
- d = 2.286 Å, I 35.8
- d = 2.264 Å, I 69.5
- d = 1.363 Å, I 28.0

---

Number 2 is which compound?
DyScRe